No. 1
Diffraction record for La7PS5. The XRD peak list is computed, not measured: it uses a cell relaxed with PBE and Cu Kα, 1.54184 Å.
Lines closer than 0.1° are merged.

Structural model:
Lattice parameters (Å, degrees): 4.1135 7.1760 24.1974 90.01 90.00 106.59
Fractional positions:
La 0.0000 0.0000 0.0000
La 0.9998 0.9995 0.1331
La 0.1009 0.2027 0.4307
La 0.1010 0.2030 0.7025
La 0.2842 0.5680 0.2026
La 0.2846 0.5689 0.9307
La 0.3855 0.7715 0.5000
La 0.3855 0.7716 0.6331
La 0.5542 0.1090 0.2801
La 0.5545 0.1096 0.8531
La 0.6591 0.3192 0.5666
La 0.7263 0.4521 0.0666
La 0.8310 0.6618 0.3531
La 0.8311 0.6622 0.7801
P 0.0064 0.0130 0.5666
P 0.3790 0.7583 0.0663
S 0.1925 0.3854 0.3166
S 0.1928 0.3859 0.8166
S 0.4663 0.9326 0.3903
S 0.4665 0.9329 0.7429
S 0.6405 0.2810 0.1728
S 0.6408 0.2817 0.9603
S 0.7447 0.4899 0.4603
S 0.7448 0.4901 0.6728
S 0.9188 0.8383 0.2429
S 0.9191 0.8389 0.8903

Principal peaks in the range 2θ from 10° to 90°, in order of rising 2θ:
d = 3.541 Å, 2θ = 25.15°, intensity 37; d = 3.404 Å, 2θ = 26.18°, intensity 35; d = 3.304 Å, 2θ = 26.99°, intensity 73; d = 3.089 Å, 2θ = 28.91°, intensity 100; d = 2.968 Å, 2θ = 30.11°, intensity 99; d = 2.863 Å, 2θ = 31.25°, intensity 56; d = 2.769 Å, 2θ = 32.33°, intensity 36; d = 2.221 Å, 2θ = 40.62°, intensity 33; d = 2.070 Å, 2θ = 43.72°, intensity 36; d = 2.057 Å, 2θ = 44.03°, intensity 35



No. 2
Diffraction record for YEr5In3. The XRD peak list is computed, not measured: it uses a cell relaxed with PBE and Cu Kα, 1.54184 Å.
Lines closer than 0.1° are merged.

Structural model:
Lattice parameters (Å, degrees): 9.2680 9.2680 6.6982 90.00 90.00 120.00
Fractional positions:
Y 0.0000 0.0000 0.0000
Y 0.0000 0.0000 0.5000
Er 0.0000 0.3356 0.2500
Er 0.0000 0.6644 0.7500
Er 0.3333 0.6667 0.0000
Er 0.3333 0.6667 0.5000
Er 0.3356 0.0000 0.2500
Er 0.3356 0.3356 0.7500
Er 0.6644 0.0000 0.7500
Er 0.6644 0.6644 0.2500
Er 0.6667 0.3333 0.0000
Er 0.6667 0.3333 0.5000
In 0.0000 0.3320 0.7500
In 0.0000 0.6680 0.2500
In 0.3320 0.0000 0.7500
In 0.3320 0.3320 0.2500
In 0.6680 0.0000 0.2500
In 0.6680 0.6680 0.7500

Principal peaks in the range 2θ from 10° to 90°, in order of rising 2θ:
d = 2.714 Å, 2θ = 33.00°, intensity 92; d = 2.675 Å, 2θ = 33.49°, intensity 100; d = 2.090 Å, 2θ = 43.28°, intensity 11; d = 1.905 Å, 2θ = 47.73°, intensity 33; d = 1.552 Å, 2θ = 59.56°, intensity 34; d = 1.545 Å, 2θ = 59.88°, intensity 19; d = 1.419 Å, 2θ = 65.79°, intensity 28; d = 1.338 Å, 2θ = 70.38°, intensity 12; d = 1.200 Å, 2θ = 79.95°, intensity 14; d = 1.135 Å, 2θ = 85.53°, intensity 14



No. 3
Diffraction record for Tb3Sm3Au4. The XRD peak list is computed, not measured: it uses a cell relaxed with PBE and Cu Kα, 1.54184 Å.
Lines closer than 0.1° are merged.

Structural model:
Lattice parameters (Å, degrees): 3.8548 8.2693 8.2693 90.72 90.00 90.00
Fractional positions:
Tb 0.0000 0.0000 0.0000
Tb 0.5000 0.3331 0.8311
Tb 0.5000 0.8311 0.3331
Sm 0.0000 0.1667 0.4959
Sm 0.0000 0.4959 0.1667
Sm 0.0000 0.6716 0.6716
Au 0.5000 0.1998 0.1998
Au 0.5000 0.4642 0.4642
Au 0.5000 0.7075 0.9677
Au 0.5000 0.9677 0.7075

Principal peaks in the range 2θ from 10° to 90°, in order of rising 2θ:
d = 2.819 Å, 2θ = 31.74°, intensity 31; d = 2.676 Å, 2θ = 33.49°, intensity 98; d = 2.662 Å, 2θ = 33.67°, intensity 100; d = 2.625 Å, 2θ = 34.16°, intensity 49; d = 2.605 Å, 2θ = 34.43°, intensity 47; d = 1.927 Å, 2θ = 47.15°, intensity 26; d = 1.554 Å, 2θ = 59.50°, intensity 20; d = 1.549 Å, 2θ = 59.68°, intensity 19; d = 1.432 Å, 2θ = 65.15°, intensity 18; d = 1.421 Å, 2θ = 65.70°, intensity 17



No. 4
Diffraction record for Pa6NCl15. The XRD peak list is computed, not measured: it uses a cell relaxed with PBE and Cu Kα, 1.54184 Å.
Lines closer than 0.1° are merged.

Structural model:
Lattice parameters (Å, degrees): 9.2350 9.2350 9.2350 109.47 109.47 109.47
Fractional positions:
Pa 0.0000 0.2303 0.2303
Pa 0.0000 0.7697 0.7697
Pa 0.2303 0.0000 0.2303
Pa 0.2303 0.2303 0.0000
Pa 0.7697 0.0000 0.7697
Pa 0.7697 0.7697 0.0000
N 0.0000 0.0000 0.0000
Cl 0.0000 0.2525 0.7475
Cl 0.0000 0.5000 0.5000
Cl 0.0000 0.7475 0.2525
Cl 0.2525 0.0000 0.7475
Cl 0.2525 0.2525 0.5049
Cl 0.2525 0.5049 0.2525
Cl 0.2525 0.7475 0.0000
Cl 0.4951 0.7475 0.7475
Cl 0.5000 0.0000 0.5000
Cl 0.5000 0.5000 0.0000
Cl 0.5049 0.2525 0.2525
Cl 0.7475 0.0000 0.2525
Cl 0.7475 0.2525 0.0000
Cl 0.7475 0.4951 0.7475
Cl 0.7475 0.7475 0.4951

Principal peaks in the range 2θ from 10° to 90°, in order of rising 2θ:
d = 7.540 Å, 2θ = 11.74°, intensity 100; d = 5.332 Å, 2θ = 16.63°, intensity 16; d = 4.353 Å, 2θ = 20.40°, intensity 25; d = 3.078 Å, 2θ = 29.01°, intensity 16; d = 2.850 Å, 2θ = 31.39°, intensity 48; d = 2.666 Å, 2θ = 33.62°, intensity 52; d = 2.273 Å, 2θ = 39.64°, intensity 25; d = 2.091 Å, 2θ = 43.26°, intensity 21; d = 1.885 Å, 2θ = 48.28°, intensity 34; d = 1.451 Å, 2θ = 64.18°, intensity 16



No. 5
Diffraction record for La5TbSmTm2. The XRD peak list is computed, not measured: it uses a cell relaxed with PBE and Cu Kα, 1.54184 Å.
Lines closer than 0.1° are merged.

Structural model:
Lattice parameters (Å, degrees): 11.2092 11.2092 10.6746 90.00 90.00 151.65
Fractional positions:
La 0.0000 0.0000 0.0000
La 0.0000 0.0000 0.5000
La 0.1229 0.8771 0.7500
La 0.2201 0.7799 0.0603
La 0.2201 0.7799 0.4397
La 0.4996 0.5004 0.2500
La 0.5004 0.4996 0.7500
La 0.7799 0.2201 0.5603
La 0.7799 0.2201 0.9397
La 0.8771 0.1229 0.2500
Tb 0.0998 0.9002 0.2500
Tb 0.9002 0.0998 0.7500
Sm 0.2859 0.7141 0.7500
Sm 0.7141 0.2859 0.2500
Tm 0.3870 0.6130 0.5028
Tm 0.3870 0.6130 0.9972
Tm 0.6130 0.3870 0.0028
Tm 0.6130 0.3870 0.4972

Principal peaks in the range 2θ from 10° to 90°, in order of rising 2θ:
d = 3.384 Å, 2θ = 26.34°, intensity 18; d = 2.958 Å, 2θ = 30.21°, intensity 12; d = 2.872 Å, 2θ = 31.14°, intensity 100; d = 2.761 Å, 2θ = 32.43°, intensity 11; d = 2.745 Å, 2θ = 32.63°, intensity 30; d = 2.669 Å, 2θ = 33.58°, intensity 18; d = 1.913 Å, 2θ = 47.52°, intensity 14; d = 1.608 Å, 2θ = 57.29°, intensity 18; d = 1.577 Å, 2θ = 58.53°, intensity 9; d = 1.532 Å, 2θ = 60.42°, intensity 10



No. 6
Diffraction record for Na3LiTi. The XRD peak list is computed, not measured: it uses a cell relaxed with PBE and Cu Kα, 1.54184 Å.
Lines closer than 0.1° are merged.

Structural model:
Lattice parameters (Å, degrees): 5.2901 5.2901 5.2901 90.00 90.00 90.00
Fractional positions:
Na 0.0000 0.0000 0.5000
Na 0.0000 0.5000 0.0000
Na 0.5000 0.0000 0.0000
Li 0.0000 0.0000 0.0000
Ti 0.5000 0.5000 0.5000

Principal peaks in the range 2θ from 10° to 90°, in order of rising 2θ:
d = 5.290 Å, 2θ = 16.76°, intensity 8; d = 3.741 Å, 2θ = 23.79°, intensity 16; d = 3.054 Å, 2θ = 29.24°, intensity 100; d = 2.645 Å, 2θ = 33.89°, intensity 59; d = 2.160 Å, 2θ = 41.83°, intensity 6; d = 1.870 Å, 2θ = 48.68°, intensity 39; d = 1.595 Å, 2θ = 57.81°, intensity 37; d = 1.527 Å, 2θ = 60.64°, intensity 13; d = 1.214 Å, 2θ = 78.87°, intensity 13; d = 1.183 Å, 2θ = 81.34°, intensity 14